1.
Starting from a PBE-relaxed structure, the powder diffractogram of K2MgAgF6 was computed for Cu Kα.
No peak broadening, texture or thermal motion is included.

Atomic structure:
abc: 4.1939 4.1939 8.7306
angles: 90.00 90.00 90.00
Space group P4/mmm (No. 123)
Unique sites:
K 0.0000 0.0000 0.2303 (multiplicity 2)
Mg 0.5000 0.5000 0.0000 (multiplicity 1)
Ag 0.5000 0.5000 0.5000 (multiplicity 1)
F 0.0000 0.5000 0.0000 (multiplicity 2)
F 0.0000 0.5000 0.5000 (multiplicity 2)
F 0.5000 0.5000 0.2259 (multiplicity 2)

Top 6 peaks for 10 to 90 degrees two-theta, in order of falling intensity:
| hkl | Position (°2θ) | Rel. int. |
| --- | --- | --- |
| 1 0 2 | 29.54 | 1000 |
| 2 0 0 | 43.14 | 586 |
| 1 1 0 | 30.14 | 477 |
| 1 0 1 | 23.53 | 451 |
| 0 0 1 | 10.13 | 413 |
| 2 1 2 | 53.15 | 361 |



2.
Starting from a PBE-relaxed structure, the powder diffractogram of PmLuSe was computed for Cu Kα.
No peak broadening, texture or thermal motion is included.

Atomic structure:
abc: 3.8558 3.8558 6.6063
angles: 90.00 90.00 120.00
Space group P3m1 (No. 156)
Unique sites:
Pm 0.0000 0.0000 0.0000 (multiplicity 1)
Lu 0.6667 0.3333 0.5603 (multiplicity 1)
Se 0.3333 0.6667 0.2953 (multiplicity 1)

Top 6 peaks for 10 to 90 degrees two-theta, in order of falling intensity:
| hkl | Position (°2θ) | Rel. int. |
| --- | --- | --- |
| 0 1 1 | 29.98 | 1000 |
| 1 0 2 | 38.33 | 378 |
| 1 1 0 | 47.14 | 267 |
| 2 0 1 | 56.88 | 165 |
| 0 1 3 | 49.59 | 162 |
| 1 2 1 | 76.91 | 137 |